Structure and theoretical powder diffraction line list of BeGaGe (the PBE geometry in Alexandria; Cu Kα X-rays).
Peak positions follow from Bragg's law for the DFT cell and can differ from measured ones.

Largest 10 diffraction maxima, by angle, 2θ = 10–90°:
- 2θ 25.7, I 45
- 2θ 28.4, I 54
- 2θ 29.1, I 39
- 2θ 29.5, I 79
- 2θ 34.4, I 57
- 2θ 36.1, I 100
- 2θ 44.1, I 59
- 2θ 46.0, I 50
- 2θ 47.3, I 41
- 2θ 49.0, I 41

Crystal structure
```
BeGaGe
1.0
3.626 -1.973 0.000
3.626 1.973 0.000
-0.668 0.000 6.816
Be Ga Ge
2 2 2
Cartesian
0.000 0.000 0.000
0.926 0.000 2.066
0.214 0.000 4.419
2.418 0.000 5.554
3.125 0.000 2.819
4.956 0.000 0.688
```